Structure and calculated powder diffractogram of ThTl2AgS4 (a crystal structure in Alexandria, relaxed with GGA-PBE; Cu Kα (weighted mean of Kα1 and Kα2)).
No peak broadening, texture or thermal motion is included.

Main lines, by angle (2θ = 15–90°):
d (Å), two_theta, I/Imax, index
3.751, 23.72, 50, 0 0 2
3.385, 26.33, 72, 1 1 -1
3.273, 27.24, 34, 2 0 0
3.084, 28.95, 59, 2 0 -2
2.924, 30.57, 100, 1 1 1
2.237, 40.31, 45, 1 1 -3
2.024, 44.79, 53, 0 2 0
1.692, 54.19, 20, 2 2 -2

Atomic structure:
Unit cell a=7.029 b=4.049 c=8.054 alpha=90.00 beta=111.35 gamma=90.00
Sites, in units of the cell vectors:
Th (0.000, 0.000, 0.000)
Tl (0.000, 0.500, 0.500)
Tl (0.500, 0.000, 0.500)
Ag (0.500, 0.500, 0.000)
S (0.212, 0.500, 0.222)
S (0.284, 0.000, 0.817)
S (0.716, 0.000, 0.183)
S (0.788, 0.500, 0.778)